For Ca10P6O25, a GGA-PBE-relaxed structure gives the calculated PXRD pattern in this record (Cu Kα (weighted mean of Kα1 and Kα2)).

The 10 most intense peaks (2θ = 10–90°), by angle:
(hkl), 2theta, I/Imax
1 0 0, 10.65, 30.3
0 0 2, 25.83, 35.6
1 2 0, 28.43, 25.2
3 -1 1, 31.30, 100.0
2 -1 2, 31.96, 55.4
3 0 0, 32.33, 67.2
0 2 2, 33.78, 25.0
3 1 0, 39.10, 20.9
2 2 2, 46.10, 43.7
3 -1 3, 49.10, 37.2

Cell and atoms:
```
data_Ca10P6O25
_symmetry_space_group_name_H-M 'P 3'
_symmetry_Int_Tables_number 143
_cell_length_a 9.5923
_cell_length_b 9.5923
_cell_length_c 6.8996
_cell_angle_alpha 90.00
_cell_angle_beta 90.00
_cell_angle_gamma 120.00
loop_
_symmetry_equiv_pos_as_xyz
'x,y,z'
'-y,x-y,z'
'-x+y,-x,z'
loop_
_atom_site_label
_atom_site_type_symbol
_atom_site_fract_x
_atom_site_fract_y
_atom_site_fract_z
Ca1 Ca 0.0000 0.0000 0.0000
Ca2 Ca 0.0000 0.0000 0.4859
Ca3 Ca 0.0549 0.6648 0.7451
Ca4 Ca 0.1049 0.4419 0.2428
Ca5 Ca 0.6667 0.3333 0.0015
Ca6 Ca 0.6667 0.3333 0.4937
P1 P 0.3034 0.0234 0.7436
P2 P 0.3635 0.2901 0.2459
O1 O 0.0876 0.3361 0.9237
O2 O 0.0908 0.3431 0.5663
O3 O 0.1784 0.1756 0.2437
O4 O 0.2055 0.1150 0.7398
O5 O 0.3333 0.6667 0.2260
O6 O 0.4155 0.4016 0.4265
O7 O 0.4203 0.3968 0.0607
O8 O 0.4565 0.1954 0.2517
O9 O 0.4868 0.1488 0.7452
```